The following is a calculated XRD peak list of Ba2GeTe2Se2. It was derived from DFT lattice parameters and positions (PBE), using a wavelength of 1.5418 Å.

Structural model:
Lattice parameters (Å, degrees): 7.564 7.288 9.494 90.00 108.46 90.00
Sites, in units of the cell vectors:
1 Ba 0.214 0.250 0.051
2 Ba 0.238 0.250 0.560
3 Ba 0.762 0.750 0.440
4 Ba 0.786 0.750 0.949
5 Ge 0.211 0.750 0.797
6 Ge 0.789 0.250 0.203
7 Te 0.379 0.750 0.082
8 Te 0.402 0.750 0.611
9 Te 0.598 0.250 0.389
10 Te 0.621 0.250 0.918
11 Se 0.002 0.005 0.740
12 Se 0.002 0.495 0.740
13 Se 0.998 0.505 0.260
14 Se 0.998 0.995 0.260

Largest 10 diffraction maxima, low angle first, 2θ from 10° to 90°:
2θ/deg	d [Å]	I (rel.)
24.4	3.644	41
26.4	3.374	43
26.5	3.364	42
27.5	3.249	29
29.2	3.058	100
31.6	2.834	68
35.1	2.556	32
37.9	2.373	38
46.1	1.970	28
50.0	1.823	34

The following is a calculated XRD peak list of KBiPb. It was derived from DFT lattice parameters and positions (PBE), using a wavelength of 1.5418 Å.

Structural model:
Lattice parameters (Å, degrees): 6.997 6.997 6.997 123.72 119.57 87.21
Sites, in units of the cell vectors:
1 K 0.000 0.000 0.000
2 K 0.748 0.248 0.500
3 Bi 0.376 0.608 0.768
4 Bi 0.840 0.608 0.232
5 Pb 0.388 0.146 0.758
6 Pb 0.388 0.630 0.242

Largest 10 diffraction maxima, low angle first, 2θ from 10° to 90°:
2θ/deg	d [Å]	I (rel.)
15.3	5.783	100
16.0	5.530	89
29.3	3.046	34
29.7	3.007	35
30.1	2.970	67
30.9	2.892	95
31.2	2.866	62
32.4	2.765	87
37.3	2.408	49
52.4	1.745	48

The following is a calculated XRD peak list of AsS. It was derived from DFT lattice parameters and positions (PBE), using a wavelength of 1.5418 Å.

Structural model:
Lattice parameters (Å, degrees): 6.324 6.324 10.125 90.00 90.00 49.55
Sites, in units of the cell vectors:
1 As 0.007 0.993 0.500
2 As 0.298 0.301 0.966
3 As 0.301 0.298 0.466
4 As 0.699 0.702 0.966
5 As 0.702 0.699 0.466
6 As 0.993 0.007 0.000
7 S 0.003 0.319 0.621
8 S 0.292 0.708 0.847
9 S 0.319 0.003 0.121
10 S 0.681 0.997 0.621
11 S 0.708 0.292 0.347
12 S 0.997 0.681 0.121

Largest 10 diffraction maxima, low angle first, 2θ from 10° to 90°:
2θ/deg	d [Å]	I (rel.)
17.5	5.062	100
25.5	3.488	14
28.8	3.103	33
33.9	2.646	88
36.0	2.497	15
38.3	2.348	34
46.3	1.961	36
46.7	1.946	12
49.8	1.830	20
57.4	1.604	15

The following is a calculated XRD peak list of NaMgH2SO5. It was derived from DFT lattice parameters and positions (PBE), using a wavelength of 1.5418 Å.

Structural model:
Lattice parameters (Å, degrees): 6.516 6.080 7.183 90.00 110.20 90.00
Sites, in units of the cell vectors:
1 Na 0.097 0.250 0.225
2 Na 0.903 0.750 0.775
3 Mg 0.500 0.000 0.000
4 Mg 0.500 0.500 0.000
5 H 0.417 0.627 0.596
6 H 0.417 0.873 0.596
7 H 0.583 0.127 0.404
8 H 0.583 0.373 0.404
9 S 0.069 0.250 0.739
10 S 0.931 0.750 0.261
11 O 0.143 0.250 0.568
12 O 0.163 0.050 0.870
13 O 0.163 0.450 0.870
14 O 0.170 0.750 0.312
15 O 0.498 0.250 0.326
16 O 0.502 0.750 0.674
17 O 0.830 0.250 0.688
18 O 0.837 0.550 0.130
19 O 0.837 0.950 0.130
20 O 0.857 0.750 0.432

Largest 10 diffraction maxima, low angle first, 2θ from 10° to 90°:
2θ/deg	d [Å]	I (rel.)
14.5	6.115	90
20.6	4.312	52
21.6	4.115	85
25.4	3.508	100
27.1	3.287	38
29.4	3.039	59
32.3	2.771	70
32.8	2.732	47
32.9	2.722	50
39.9	2.257	58